# KHgC3S3N3
Calculated PXRD pattern, λ = 1.5418 Å (Cu Kα). Input: DFT lattice parameters and positions (GGA-PBE).

Crystal structure
a b c (Å): 12.071 4.107 22.305
angles (deg): 90.00 121.22 90.00
Atoms (fractional coordinates):
K (0.095, 0.211, 0.190)
K (0.095, 0.289, 0.690)
K (0.905, 0.711, 0.310)
K (0.905, 0.789, 0.810)
Hg (0.355, 0.211, 0.540)
Hg (0.355, 0.289, 0.040)
Hg (0.645, 0.711, 0.960)
Hg (0.645, 0.789, 0.460)
C (0.141, 0.744, 0.056)
C (0.141, 0.756, 0.556)
C (0.216, 0.232, 0.373)
C (0.216, 0.268, 0.873)
C (0.403, 0.746, 0.802)
C (0.403, 0.754, 0.302)
C (0.597, 0.246, 0.698)
C (0.597, 0.254, 0.198)
C (0.784, 0.732, 0.127)
C (0.784, 0.768, 0.627)
C (0.859, 0.244, 0.444)
C (0.859, 0.256, 0.944)
S (0.169, 0.718, 0.491)
S (0.169, 0.782, 0.991)
S (0.373, 0.234, 0.932)
S (0.373, 0.266, 0.432)
S (0.443, 0.158, 0.668)
S (0.443, 0.342, 0.168)
S (0.557, 0.658, 0.832)
S (0.557, 0.842, 0.332)
S (0.627, 0.734, 0.568)
S (0.627, 0.766, 0.068)
S (0.831, 0.218, 0.009)
S (0.831, 0.282, 0.509)
N (0.105, 0.208, 0.331)
N (0.105, 0.292, 0.831)
N (0.121, 0.713, 0.102)
N (0.121, 0.787, 0.602)
N (0.291, 0.696, 0.276)
N (0.291, 0.804, 0.776)
N (0.709, 0.196, 0.224)
N (0.709, 0.304, 0.724)
N (0.879, 0.213, 0.398)
N (0.879, 0.287, 0.898)
N (0.895, 0.708, 0.169)
N (0.895, 0.792, 0.669)

The 10 most intense peaks (10 to 90 degrees two-theta), in order of falling intensity:
| 2θ/deg | intensity | (hkl) |
| --- | --- | --- |
| 26.25 | 100 | 2 1 -2 |
| 23.35 | 93 | 1 1 -2 |
| 32.15 | 81 | 2 0 -8 |
| 17.60 | 58 | 2 0 -4 |
| 15.58 | 56 | 1 0 2 |
| 27.76 | 53 | 2 1 0 |
| 35.69 | 50 | 0 1 6 |
| 22.47 | 45 | 3 0 -2 |
| 14.68 | 40 | 2 0 -2 |
| 38.44 | 34 | 4 1 -6 |